The following is a theoretical powder diffractogram of Y2Pb2O7. It was derived from a cell relaxed with PBE, using λ = 1.5418 Å (Cu Kα).
Neutral-atom scattering factors, no anomalous dispersion.

Atomic structure:
Cell lengths 10.7867, 10.7867, 10.7867 Å; angles 90.00, 90.00, 90.00 degrees
Space group Fd-3m (No. 227, origin choice 2)
Unique sites:
Y  0.0000  0.0000  0.0000 x16
Pb  0.0000  0.0000  0.5000 x16
O  0.0989  0.3750  0.8750 x48
O  0.1250  0.1250  0.1250 x8

Largest 12 diffraction maxima, low angle first, 2θ = 10–80°:
- hkl 1 1 1, 2θ = 14.22°, d = 6.228 Å, I = 17
- hkl 3 1 1, 2θ = 27.42°, d = 3.252 Å, I = 16
- hkl 2 2 2, 2θ = 28.67°, d = 3.114 Å, I = 100
- hkl 4 0 0, 2θ = 33.22°, d = 2.697 Å, I = 34
- hkl 3 3 3, 2θ = 43.60°, d = 2.076 Å, I = 5
- hkl 4 4 0, 2θ = 47.69°, d = 1.907 Å, I = 50
- hkl 5 3 1, 2θ = 50.03°, d = 1.823 Å, I = 5
- hkl 6 2 2, 2θ = 56.60°, d = 1.626 Å, I = 45
- hkl 4 4 4, 2θ = 59.36°, d = 1.557 Å, I = 10
- hkl 8 0 0, 2θ = 69.75°, d = 1.348 Å, I = 8
- hkl 6 6 2, 2θ = 77.08°, d = 1.237 Å, I = 19
- hkl 8 4 0, 2θ = 79.47°, d = 1.206 Å, I = 14

The following is a theoretical powder diffractogram of Tb7Y16Sc6. It was derived from a cell relaxed with PBE, using λ = 1.5418 Å (Cu Kα).
Neutral-atom scattering factors, no anomalous dispersion.

Atomic structure:
Cell lengths 15.3417, 15.3417, 15.3417 Å; angles 90.00, 90.00, 90.00 degrees
Space group Fm-3m (No. 225)
Unique sites:
Tb  0.0000  0.0000  0.0000 x4
Tb  0.0000  0.2500  0.2500 x24
Y  0.1120  0.1120  0.3880 x32
Y  0.1473  0.1473  0.1473 x32
Sc  0.0000  0.0000  0.2241 x24

Largest 12 diffraction maxima, low angle first, 2θ = 10–80°:
- hkl 2 2 2, 2θ = 20.05°, d = 4.429 Å, I = 25
- hkl 3 3 1, 2θ = 25.30°, d = 3.520 Å, I = 7
- hkl 5 1 1, 2θ = 30.27°, d = 2.953 Å, I = 18
- hkl 4 4 0, 2θ = 33.03°, d = 2.712 Å, I = 100
- hkl 6 2 2, 2θ = 38.94°, d = 2.313 Å, I = 17
- hkl 5 5 3, 2θ = 45.41°, d = 1.997 Å, I = 6
- hkl 8 0 0, 2θ = 47.41°, d = 1.918 Å, I = 14
- hkl 6 6 2, 2θ = 51.96°, d = 1.760 Å, I = 6
- hkl 8 4 4, 2θ = 58.99°, d = 1.566 Å, I = 24
- hkl 9 5 1, 2θ = 62.64°, d = 1.483 Å, I = 9
- hkl 6 6 6, 2θ = 62.96°, d = 1.476 Å, I = 6
- hkl 10 6 2, 2θ = 72.96°, d = 1.297 Å, I = 8

Q: Number 1 is which compound?
A: Y2Pb2O7